# V2FeSe4
Simulated powder X-ray diffraction pattern, a wavelength of 1.5418 Å. Input: DFT lattice parameters and positions (PBE).

Cell and atoms:
Lattice parameters (Å, degrees): 13.218 3.356 6.186 90.00 116.42 90.00
Space group C2/m (No. 12)
Asymmetric unit:
V 0.245 0.000 0.185
Fe 0.000 0.500 0.500
Se 0.105 0.500 0.943
Se 0.140 0.000 0.475

Main lines, low angle first (2θ = 10–90°):
2θ = 32.32°, d 2.770, I 42, (0 0 2); 2θ = 33.03°, d 2.712, I 51, (4 0 -2); 2θ = 33.79°, d 2.653, I 100, (1 1 1); 2θ = 34.13°, d 2.627, I 53, (3 1 -1); 2θ = 43.03°, d 2.102, I 42, (3 1 1); 2θ = 43.59°, d 2.076, I 54, (5 1 -1); 2θ = 52.07°, d 1.756, I 54, (3 1 -3); 2θ = 54.70°, d 1.678, I 30, (0 2 0)

---

# KTeO4
Simulated powder X-ray diffraction pattern, a wavelength of 1.5418 Å. Input: DFT lattice parameters and positions (PBE).

Cell and atoms:
Lattice parameters (Å, degrees): 5.169 11.486 6.510 90.00 91.83 90.00
Space group P2_1/c (No. 14)
Asymmetric unit:
K 0.239 0.161 0.489
Te 0.251 0.577 0.507
O 0.060 0.046 0.831
O 0.102 0.692 0.330
O 0.407 0.681 0.704
O 0.438 0.054 0.160

Main lines, low angle first (2θ = 10–90°):
2θ = 15.65°, d 5.662, I 100, (0 1 1); 2θ = 26.67°, d 3.343, I 47, (1 2 -1); 2θ = 27.24°, d 3.274, I 42, (1 2 1); 2θ = 27.41°, d 3.254, I 16, (0 0 2); 2θ = 29.03°, d 3.076, I 19, (1 3 0); 2θ = 38.66°, d 2.329, I 14, (1 4 1); 2θ = 40.75°, d 2.214, I 18, (1 3 2); 2θ = 44.06°, d 2.055, I 14, (2 0 -2)

---

# Pr6Fe13Hg
Simulated powder X-ray diffraction pattern, a wavelength of 1.5418 Å. Input: DFT lattice parameters and positions (PBE).

Cell and atoms:
Lattice parameters (Å, degrees): 8.071 8.071 23.297 90.00 90.00 90.00
Space group I4/mcm (No. 140)
Asymmetric unit:
Pr 0.000 0.000 0.105
Pr 0.163 0.337 0.186
Fe 0.000 0.500 0.000
Fe 0.067 0.211 0.500
Fe 0.113 0.387 0.406
Fe 0.178 0.322 0.059
Hg 0.000 0.000 0.250

Main lines, low angle first (2θ = 10–90°):
2θ = 27.25°, d 3.273, I 66, (2 1 3); 2θ = 31.35°, d 2.853, I 100, (2 2 0); 2θ = 31.99°, d 2.798, I 41, (2 0 6); 2θ = 34.58°, d 2.594, I 41, (1 1 8); 2θ = 35.16°, d 2.552, I 95, (3 1 0); 2θ = 38.11°, d 2.361, I 66, (2 0 8); 2θ = 43.00°, d 2.103, I 38, (2 1 9); 2θ = 50.58°, d 1.805, I 41, (4 2 0)

---

# NaMnAs
Simulated powder X-ray diffraction pattern, a wavelength of 1.5418 Å. Input: DFT lattice parameters and positions (PBE).

Cell and atoms:
Lattice parameters (Å, degrees): 4.133 4.133 7.002 90.00 90.00 90.00
Space group P4/nmm (No. 129, origin choice 2)
Asymmetric unit:
Na 0.250 0.250 0.143
Mn 0.250 0.750 0.500
As 0.250 0.250 0.704

Main lines, low angle first (2θ = 10–90°):
2θ = 12.64°, d 7.002, I 100, (0 0 1); 2θ = 25.02°, d 3.559, I 59, (1 0 1); 2θ = 33.22°, d 2.697, I 23, (1 1 1); 2θ = 33.55°, d 2.671, I 40, (1 0 2); 2θ = 40.20°, d 2.243, I 87, (1 1 2); 2θ = 43.81°, d 2.066, I 53, (2 0 0); 2θ = 50.01°, d 1.824, I 24, (1 1 3); 2θ = 78.05°, d 1.224, I 22, (3 1 2)